1.
Structure and calculated powder X-ray diffraction pattern of SmScSn6 (the PBE geometry in Alexandria; Cu Kα).

Cell and atoms:
```
data_SmScSn6
_chemical_formula_sum 'Sm1 Sc1 Sn6'
_cell_length_a 4.798
_cell_length_b 4.798
_cell_length_c 8.960
_cell_angle_alpha 90.00
_cell_angle_beta 90.00
_cell_angle_gamma 90.00
_symmetry_space_group_name_H-M 'P 4/m m m'
_symmetry_Int_Tables_number 123
_symmetry_space_group_name_Hall '-P 4 2'
loop_
_atom_site_label
_atom_site_type_symbol
_atom_site_fract_x
_atom_site_fract_y
_atom_site_fract_z
Sm1 Sm 0.000 0.000 0.000
Sc1 Sc 0.000 0.000 0.500
Sn1 Sn 0.000 0.500 0.260
Sn2 Sn 0.500 0.500 0.000
Sn3 Sn 0.500 0.500 0.500
```

Main lines, sorted by position (2θ = 5–70°):
- d = 4.229 Å, 21.0 deg, I = 4, (1 0 1)
- d = 3.173 Å, 28.1 deg, I = 3, (1 1 1)
- d = 2.704 Å, 33.1 deg, I = 100, (1 1 2)
- d = 2.399 Å, 37.5 deg, I = 36, (2 0 0)
- d = 2.240 Å, 40.3 deg, I = 14, (0 0 4)
- d = 1.696 Å, 54.1 deg, I = 13, (2 2 0)
- d = 1.637 Å, 56.2 deg, I = 22, (2 0 4)
- d = 1.437 Å, 64.9 deg, I = 30, (3 1 2)
- d = 1.367 Å, 68.7 deg, I = 12, (1 1 6)
- d = 1.352 Å, 69.5 deg, I = 12, (2 2 4)


2.
Structure and calculated powder X-ray diffraction pattern of KH (the PBE geometry in Alexandria; Cu Kα).

Cell and atoms:
```
data_KH
_chemical_formula_sum 'K4 H4'
_cell_length_a 6.130
_cell_length_b 6.130
_cell_length_c 6.130
_cell_angle_alpha 90.00
_cell_angle_beta 90.00
_cell_angle_gamma 90.00
_symmetry_space_group_name_H-M 'F -4 3 m'
_symmetry_Int_Tables_number 216
_symmetry_space_group_name_Hall 'F -4 2 3'
loop_
_atom_site_label
_atom_site_type_symbol
_atom_site_fract_x
_atom_site_fract_y
_atom_site_fract_z
K1 K 0.000 0.000 0.000
H1 H 0.250 0.250 0.250
```

Main lines, sorted by position (2θ = 5–70°):
- d = 3.539 Å, 25.2 deg, I = 100, (1 1 1)
- d = 3.065 Å, 29.1 deg, I = 46, (2 0 0)
- d = 2.167 Å, 41.7 deg, I = 36, (2 2 0)
- d = 1.848 Å, 49.3 deg, I = 39, (3 1 1)
- d = 1.769 Å, 51.7 deg, I = 11, (2 2 2)
- d = 1.532 Å, 60.4 deg, I = 5, (4 0 0)
- d = 1.406 Å, 66.5 deg, I = 14, (3 3 1)
- d = 1.371 Å, 68.5 deg, I = 13, (4 2 0)


3.
Structure and calculated powder X-ray diffraction pattern of TaInCo2 (the PBE geometry in Alexandria; Cu Kα).

Cell and atoms:
```
data_TaInCo2
_chemical_formula_sum 'Ta1 In1 Co2'
_cell_length_a 3.122
_cell_length_b 3.122
_cell_length_c 6.146
_cell_angle_alpha 90.00
_cell_angle_beta 90.00
_cell_angle_gamma 90.00
_symmetry_space_group_name_H-M 'P 4/m m m'
_symmetry_Int_Tables_number 123
_symmetry_space_group_name_Hall '-P 4 2'
loop_
_atom_site_label
_atom_site_type_symbol
_atom_site_fract_x
_atom_site_fract_y
_atom_site_fract_z
Ta1 Ta 0.000 0.000 0.000
In1 In 0.000 0.000 0.500
Co1 Co 0.500 0.500 0.220
```

Main lines, sorted by position (2θ = 5–70°):
- d = 6.146 Å, 14.4 deg, I = 14, (0 0 1)
- d = 3.122 Å, 28.6 deg, I = 23, (1 0 0)
- d = 3.073 Å, 29.1 deg, I = 12, (0 0 2)
- d = 2.208 Å, 40.9 deg, I = 53, (1 1 0)
- d = 2.190 Å, 41.2 deg, I = 100, (1 0 2)
- d = 1.793 Å, 50.9 deg, I = 11, (1 1 2)
- d = 1.561 Å, 59.2 deg, I = 17, (2 0 0)
- d = 1.536 Å, 60.2 deg, I = 7, (0 0 4)
- d = 1.392 Å, 67.3 deg, I = 5, (2 0 2)
- d = 1.379 Å, 68.0 deg, I = 6, (1 0 4)


4.
Structure and calculated powder X-ray diffraction pattern of CePuCo (the PBE geometry in Alexandria; Cu Kα).

Cell and atoms:
```
data_CePuCo
_chemical_formula_sum 'Ce2 Pu2 Co2'
_cell_length_a 3.603
_cell_length_b 6.272
_cell_length_c 6.696
_cell_angle_alpha 117.38
_cell_angle_beta 104.71
_cell_angle_gamma 91.38
_symmetry_space_group_name_H-M 'P -1'
_symmetry_Int_Tables_number 2
loop_
_symmetry_equiv_pos_as_xyz
'x,y,z'
'-x,-y,-z'
loop_
_atom_site_label
_atom_site_type_symbol
_atom_site_fract_x
_atom_site_fract_y
_atom_site_fract_z
Ce1 Ce 0.211 0.212 0.423
Pu1 Pu 0.424 0.241 0.000
Co1 Co 0.123 0.624 0.247
```

Main lines, sorted by position (2θ = 5–70°):
- d = 5.675 Å, 15.6 deg, I = 27, (0 0 1)
- d = 3.433 Å, 26.0 deg, I = 23, (1 0 0)
- d = 2.837 Å, 31.5 deg, I = 27, (0 0 2)
- d = 2.744 Å, 32.6 deg, I = 100, (0 2 0)
- d = 2.721 Å, 32.9 deg, I = 23, (1 1 0)
- d = 2.709 Å, 33.1 deg, I = 23, (1 1 -2)
- d = 2.615 Å, 34.3 deg, I = 41, (1 0 1)
- d = 2.603 Å, 34.5 deg, I = 41, (1 0 -2)
- d = 2.342 Å, 38.4 deg, I = 45, (1 -2 1)
- d = 2.289 Å, 39.4 deg, I = 35, (1 2 -2)


5.
Structure and calculated powder X-ray diffraction pattern of Li5Ag2HgPd2 (the PBE geometry in Alexandria; Cu Kα).

Cell and atoms:
```
data_Li5Ag2HgPd2
_chemical_formula_sum 'Li10 Ag4 Hg2 Pd4'
_cell_length_a 9.348
_cell_length_b 9.348
_cell_length_c 3.838
_cell_angle_alpha 90.00
_cell_angle_beta 90.00
_cell_angle_gamma 90.00
_symmetry_space_group_name_H-M 'P 4/m b m'
_symmetry_Int_Tables_number 127
_symmetry_space_group_name_Hall '-P 4 2ab'
loop_
_atom_site_label
_atom_site_type_symbol
_atom_site_fract_x
_atom_site_fract_y
_atom_site_fract_z
Li1 Li 0.000 0.500 0.000
Li2 Li 0.080 0.205 0.000
Ag1 Ag 0.178 0.678 0.500
Hg1 Hg 0.000 0.000 0.500
Pd1 Pd 0.114 0.386 0.500
```

Main lines, sorted by position (2θ = 5–70°):
- d = 3.838 Å, 23.2 deg, I = 100, (0 0 1)
- d = 3.305 Å, 27.0 deg, I = 29, (2 2 0)
- d = 2.956 Å, 30.2 deg, I = 75, (3 1 0)
- d = 2.504 Å, 35.9 deg, I = 30, (2 2 1)
- d = 2.342 Å, 38.4 deg, I = 90, (3 1 1)
- d = 2.148 Å, 42.1 deg, I = 23, (3 2 1)
- d = 1.919 Å, 47.4 deg, I = 17, (0 0 2)
- d = 1.835 Å, 49.7 deg, I = 21, (5 1 0)
- d = 1.654 Å, 55.6 deg, I = 23, (4 4 0)
- d = 1.610 Å, 57.2 deg, I = 24, (3 1 2)


6.
Structure and calculated powder X-ray diffraction pattern of RbLiZn2O3 (the PBE geometry in Alexandria; Cu Kα).

Cell and atoms:
```
data_RbLiZn2O3
_chemical_formula_sum 'Rb4 Li4 Zn8 O12'
_cell_length_a 10.496
_cell_length_b 10.496
_cell_length_c 3.473
_cell_angle_alpha 90.00
_cell_angle_beta 90.00
_cell_angle_gamma 90.00
_symmetry_space_group_name_H-M 'P 42/m n m'
_symmetry_Int_Tables_number 136
_symmetry_space_group_name_Hall '-P 4n 2n'
loop_
_atom_site_label
_atom_site_type_symbol
_atom_site_fract_x
_atom_site_fract_y
_atom_site_fract_z
Rb1 Rb 0.110 0.110 0.000
Li1 Li 0.202 0.798 0.000
Zn1 Zn 0.073 0.672 0.500
O1 O 0.114 0.345 0.500
O2 O 0.142 0.858 0.500
```

Main lines, sorted by position (2θ = 5–70°):
- d = 3.146 Å, 28.4 deg, I = 49, (1 1 1)
- d = 2.911 Å, 30.7 deg, I = 100, (3 2 0)
- d = 2.792 Å, 32.1 deg, I = 68, (2 1 1)
- d = 2.624 Å, 34.2 deg, I = 71, (4 0 0)
- d = 2.465 Å, 36.5 deg, I = 62, (3 0 1)
- d = 2.399 Å, 37.5 deg, I = 80, (3 1 1)
- d = 1.736 Å, 52.7 deg, I = 27, (0 0 2)
- d = 1.545 Å, 59.9 deg, I = 41, (6 1 1)
- d = 1.497 Å, 62.0 deg, I = 30, (6 2 1)
- d = 1.491 Å, 62.3 deg, I = 27, (3 2 2)


7.
Structure and calculated powder X-ray diffraction pattern of Br2OF2 (the PBE geometry in Alexandria; Cu Kα).

Cell and atoms:
```
data_Br2OF2
_chemical_formula_sum 'Br4 O2 F4'
_cell_length_a 5.829
_cell_length_b 6.736
_cell_length_c 7.471
_cell_angle_alpha 116.30
_cell_angle_beta 106.44
_cell_angle_gamma 93.49
_symmetry_space_group_name_H-M 'P 1'
_symmetry_Int_Tables_number 1
loop_
_symmetry_equiv_pos_as_xyz
'x,y,z'
loop_
_atom_site_label
_atom_site_type_symbol
_atom_site_fract_x
_atom_site_fract_y
_atom_site_fract_z
Br1 Br 0.000 0.000 0.000
Br2 Br 0.093 0.303 0.586
Br3 Br 0.478 0.952 0.939
Br4 Br 0.595 0.178 0.439
O1 O 0.145 0.118 0.313
O2 O 0.567 0.918 0.198
F1 F 0.088 0.481 0.862
F2 F 0.383 0.970 0.681
F3 F 0.586 0.445 0.697
F4 F 0.884 0.900 0.706
```

Main lines, sorted by position (2θ = 5–70°):
- d = 6.283 Å, 14.1 deg, I = 15, (0 0 1)
- d = 5.961 Å, 14.9 deg, I = 100, (0 1 -1)
- d = 5.895 Å, 15.0 deg, I = 100, (0 1 0)
- d = 3.576 Å, 24.9 deg, I = 22, (0 1 -2)
- d = 3.534 Å, 25.2 deg, I = 20, (0 1 1)
- d = 3.361 Å, 26.5 deg, I = 62, (0 2 -1)
- d = 2.729 Å, 32.8 deg, I = 24, (2 0 0)
- d = 2.710 Å, 33.0 deg, I = 31, (2 -1 0)
- d = 2.591 Å, 34.6 deg, I = 39, (2 1 -1)
- d = 2.311 Å, 39.0 deg, I = 15, (0 2 -3)


8.
Structure and calculated powder X-ray diffraction pattern of Er2NiTe (the PBE geometry in Alexandria; Cu Kα).

Cell and atoms:
```
data_Er2NiTe
_chemical_formula_sum 'Er6 Ni3 Te3'
_cell_length_a 4.0744
_cell_length_b 4.0744
_cell_length_c 21.0760
_cell_angle_alpha 90.00
_cell_angle_beta 90.00
_cell_angle_gamma 120.00
_symmetry_space_group_name_H-M 'R 3 m'
_symmetry_Int_Tables_number 160
_symmetry_space_group_name_Hall 'R 3 -2"'
loop_
_atom_site_label
_atom_site_type_symbol
_atom_site_fract_x
_atom_site_fract_y
_atom_site_fract_z
Er1 Er 0.0000 0.0000 0.0000
Er2 Er 0.0000 0.0000 0.1993
Ni1 Ni 0.0000 0.0000 0.5976
Te1 Te 0.0000 0.0000 0.4332
```

Main lines, sorted by position (2θ = 5–70°):
- d = 3.480 Å, 25.6 deg, I = 27, (1 0 1)
- d = 3.346 Å, 26.6 deg, I = 19, (0 1 2)
- d = 2.932 Å, 30.5 deg, I = 45, (1 0 4)
- d = 2.706 Å, 33.1 deg, I = 100, (0 1 5)
- d = 2.342 Å, 38.4 deg, I = 11, (0 0 9)
- d = 2.290 Å, 39.3 deg, I = 19, (1 0 7)
- d = 2.037 Å, 44.5 deg, I = 54, (1 1 0)
- d = 1.809 Å, 50.4 deg, I = 17, (1 0 10)
- d = 1.627 Å, 56.5 deg, I = 22, (2 0 5)
- d = 1.537 Å, 60.2 deg, I = 17, (1 1 9)